This entry pairs a crystal structure of Ac3ZnNi with its calculated PXRD pattern. Radiation: λ = 1.5418 Å (Cu Kα). Structure: DFT lattice parameters and positions (GGA-PBE).
Intensities are scaled so that the largest is 100.

Atomic structure:
```
data_Ac3ZnNi
_space_group_name_H-M_alt 'P 1 21/c 1'
_space_group_IT_number 14
_space_group_name_Hall '-P 2ybc'
_cell_length_a 10.004
_cell_length_b 7.053
_cell_length_c 10.264
_cell_angle_alpha 90.00
_cell_angle_beta 113.87
_cell_angle_gamma 90.00
loop_
_atom_site_label
_atom_site_fract_x
_atom_site_fract_y
_atom_site_fract_z
Ac1 0.104 0.074 0.365
Ac2 0.206 0.592 0.557
Ac3 0.386 0.086 0.775
Zn1 0.430 0.651 0.933
Ni1 0.088 0.237 0.615
```

Most intense lines, 2θ from 15° to 90°, most intense first:
2θ/deg	I (rel.)
29.06	100
27.95	99
27.69	76
27.39	73
53.01	31
31.07	30
46.02	28
37.53	26
43.03	24
46.35	21